The following is a simulated XRD peak list of Sm2YSc6. It was derived from a structure optimized by DFT (PBE), using copper Kα.

Principal peaks in the range 10 to 90 degrees two-theta, by angle:
d/Å, I_rel
4.630, 45
2.686, 100
2.673, 78
1.895, 35
1.546, 36
1.403, 20

Cell and atoms:
a b c (Å): 9.260 9.260 3.297
angles (deg): 90.00 90.00 120.00
Fractional coordinates of all 9 atoms:
1 Sm 0.333 0.667 0.000
2 Sm 0.667 0.333 0.000
3 Y 0.000 0.000 0.000
4 Sc 0.000 0.332 0.500
5 Sc 0.000 0.668 0.500
6 Sc 0.332 0.000 0.500
7 Sc 0.332 0.332 0.500
8 Sc 0.668 0.000 0.500
9 Sc 0.668 0.668 0.500